Structure and calculated powder X-ray diffraction pattern of CeAlIr (a crystal structure in the Materials Project, relaxed with GGA-PBE; Cu Ka).

Crystal structure
```
CeAlIr
1.0
6.886 0.000 0.000
0.000 4.345 0.000
0.000 0.000 7.968
Ce Al Ir
4 4 4
Direct
0.035 0.250 0.183
0.465 0.750 0.683
0.535 0.250 0.317
0.965 0.750 0.817
0.138 0.250 0.562
0.362 0.750 0.062
0.638 0.250 0.938
0.862 0.750 0.438
0.238 0.750 0.383
0.262 0.250 0.883
0.738 0.750 0.117
0.762 0.250 0.617
```

Top 10 peaks for 5 to 70 degrees two-theta, sorted by position:
- 25.84 deg, rel. 46
- 26.72 deg, rel. 61
- 33.17 deg, rel. 36
- 35.11 deg, rel. 100
- 39.78 deg, rel. 29
- 41.57 deg, rel. 34
- 41.97 deg, rel. 23
- 45.60 deg, rel. 36
- 49.59 deg, rel. 16
- 63.39 deg, rel. 27

Structure and calculated powder X-ray diffraction pattern of Sr2GdNbO6 (a crystal structure in the Materials Project, relaxed with GGA-PBE; Cu Ka).

Crystal structure
```
Sr2GdNbO6
1.0
0.000 4.251 4.251
4.251 0.000 4.251
4.251 4.251 0.000
Sr Gd Nb O
2 1 1 6
Direct
0.250 0.250 0.250
0.750 0.750 0.750
0.000 0.000 0.000
0.500 0.500 0.500
0.264 0.264 0.736
0.264 0.736 0.264
0.264 0.736 0.736
0.736 0.264 0.264
0.736 0.264 0.736
0.736 0.736 0.264
```

Top 10 peaks for 5 to 70 degrees two-theta, sorted by position:
- 18.07 deg, rel. 3
- 20.89 deg, rel. 10
- 29.72 deg, rel. 100
- 35.00 deg, rel. 3
- 42.53 deg, rel. 33
- 46.56 deg, rel. 2
- 47.84 deg, rel. 4
- 52.74 deg, rel. 40
- 61.71 deg, rel. 20
- 69.98 deg, rel. 18

Structure and calculated powder X-ray diffraction pattern of SmCdAg2 (a crystal structure in the Materials Project, relaxed with GGA-PBE; Cu Ka).

Crystal structure
```
SmCdAg2
1.0
0.000 3.553 3.553
3.553 0.000 3.553
3.553 3.553 0.000
Sm Cd Ag
1 1 2
Direct
0.000 0.000 0.000
0.500 0.500 0.500
0.250 0.250 0.250
0.750 0.750 0.750
```

Top 6 peaks for 5 to 70 degrees two-theta, sorted by position:
- 21.66 deg, rel. 1
- 25.06 deg, rel. 1
- 35.74 deg, rel. 100
- 42.18 deg, rel. 1
- 51.43 deg, rel. 17
- 64.21 deg, rel. 34

Structure and calculated powder X-ray diffraction pattern of Ba2HgS5 (a crystal structure in the Materials Project, relaxed with GGA-PBE; Cu Ka).

Crystal structure
```
Ba2HgS5
1.0
12.337 0.000 0.000
0.000 8.833 0.000
0.000 0.000 8.508
Ba Hg S
8 4 20
Direct
0.189 0.006 0.143
0.189 0.494 0.143
0.311 0.506 0.643
0.311 0.994 0.643
0.689 0.006 0.357
0.689 0.494 0.357
0.811 0.506 0.857
0.811 0.994 0.857
0.009 0.750 0.488
0.491 0.250 0.988
0.509 0.750 0.012
0.991 0.250 0.512
0.028 0.750 0.930
0.067 0.553 0.807
0.067 0.947 0.807
0.178 0.250 0.443
0.194 0.750 0.409
0.306 0.250 0.909
0.322 0.750 0.943
0.433 0.053 0.307
0.433 0.447 0.307
0.472 0.250 0.430
0.528 0.750 0.570
0.567 0.553 0.693
0.567 0.947 0.693
0.678 0.250 0.057
0.694 0.750 0.091
0.806 0.250 0.591
0.822 0.750 0.557
0.933 0.053 0.193
0.933 0.447 0.193
0.972 0.250 0.070
```

Top 10 peaks for 5 to 70 degrees two-theta, sorted by position:
- 12.64 deg, rel. 30
- 23.82 deg, rel. 100
- 24.03 deg, rel. 43
- 24.79 deg, rel. 70
- 29.15 deg, rel. 54
- 30.05 deg, rel. 60
- 30.84 deg, rel. 33
- 32.39 deg, rel. 35
- 43.33 deg, rel. 43
- 43.86 deg, rel. 39

What did the first record say?
Structure and calculated powder X-ray diffraction pattern of CeAlIr (a crystal structure in the Materials Project, relaxed with GGA-PBE; Cu Ka).

Crystal structure
```
CeAlIr
1.0
6.886 0.000 0.000
0.000 4.345 0.000
0.000 0.000 7.968
Ce Al Ir
4 4 4
Direct
0.035 0.250 0.183
0.465 0.750 0.683
0.535 0.250 0.317
0.965 0.750 0.817
0.138 0.250 0.562
0.362 0.750 0.062
0.638 0.250 0.938
0.862 0.750 0.438
0.238 0.750 0.383
0.262 0.250 0.883
0.738 0.750 0.117
0.762 0.250 0.617
```

Top 10 peaks for 5 to 70 degrees two-theta, sorted by position:
- 25.84 deg, rel. 46
- 26.72 deg, rel. 61
- 33.17 deg, rel. 36
- 35.11 deg, rel. 100
- 39.78 deg, rel. 29
- 41.57 deg, rel. 34
- 41.97 deg, rel. 23
- 45.60 deg, rel. 36
- 49.59 deg, rel. 16
- 63.39 deg, rel. 27

What did the first record say?
Structure and calculated powder X-ray diffraction pattern of CeAlIr (a crystal structure in the Materials Project, relaxed with GGA-PBE; Cu Ka).

Crystal structure
```
CeAlIr
1.0
6.886 0.000 0.000
0.000 4.345 0.000
0.000 0.000 7.968
Ce Al Ir
4 4 4
Direct
0.035 0.250 0.183
0.465 0.750 0.683
0.535 0.250 0.317
0.965 0.750 0.817
0.138 0.250 0.562
0.362 0.750 0.062
0.638 0.250 0.938
0.862 0.750 0.438
0.238 0.750 0.383
0.262 0.250 0.883
0.738 0.750 0.117
0.762 0.250 0.617
```

Top 10 peaks for 5 to 70 degrees two-theta, sorted by position:
- 25.84 deg, rel. 46
- 26.72 deg, rel. 61
- 33.17 deg, rel. 36
- 35.11 deg, rel. 100
- 39.78 deg, rel. 29
- 41.57 deg, rel. 34
- 41.97 deg, rel. 23
- 45.60 deg, rel. 36
- 49.59 deg, rel. 16
- 63.39 deg, rel. 27